Theoretical XRD peak list
Compound: CrCl2O2
Radiation: Cu Kα (weighted mean of Kα1 and Kα2)
Structure: a GGA+U-relaxed structure

Most intense lines, 10° ≤ 2θ ≤ 80°, in order of rising 2θ:
2θ 15.4, intensity 391, hkl 1 0 -1
2θ 20.1, intensity 386, hkl 1 0 1
2θ 20.5, intensity 666, hkl 0 1 1
2θ 21.3, intensity 1000, hkl 1 1 0
2θ 22.7, intensity 214, hkl 1 1 -1
2θ 33.6, intensity 214, hkl 0 2 0

Crystal structure
a = 6.9159 Å, b = 5.3325 Å, c = 7.6706 Å
α = 90.00°, β = 105.30°, γ = 90.00°
Atoms (fractional coordinates):
1 Cr 0.1655 0.0000 0.2733
2 Cr 0.8345 0.5000 0.7267
3 Cl 0.2790 0.8831 0.5456
4 Cl 0.3515 0.8755 0.1110
5 Cl 0.6485 0.3755 0.8890
6 Cl 0.7210 0.3831 0.4544
7 O 0.0543 0.3911 0.8043
8 O 0.1558 0.2978 0.2677
9 O 0.8442 0.7978 0.7323
10 O 0.9457 0.8911 0.1957